# 1
Theoretical powder diffraction line list
Compound: K2MgMn2P6H2O20
Radiation: copper Kα
Structure: a structure optimized by DFT (GGA+U)

Peak list (6 most intense, 10° ≤ 2θ ≤ 90°, by angle)
15.5°, I 66
19.7°, I 100
25.2°, I 55
26.0°, I 45
28.0°, I 42
30.3°, I 49

Cell and atoms:
```
K2MgMn2P6H2O20
1.0
7.578 0.000 0.000
2.639 7.200 0.000
3.355 2.010 8.991
K Mg Mn P H O
2 1 2 6 2 20
Direct
0.000 0.000 0.000 K
0.110 0.982 0.436 K
0.246 0.342 0.866 Mg
0.091 0.509 0.236 Mn
0.612 0.001 0.733 Mn
0.287 0.371 0.532 P
0.476 0.660 0.023 P
0.491 0.263 0.023 P
0.700 0.777 0.437 P
0.702 0.379 0.454 P
0.892 0.657 0.931 P
0.066 0.572 0.657 H
0.566 0.989 0.264 H
0.019 0.651 0.024 O
0.177 0.580 0.566 O
0.193 0.321 0.443 O
0.268 0.292 0.094 O
0.307 0.236 0.683 O
0.326 0.646 0.170 O
0.426 0.836 0.904 O
0.496 0.396 0.428 O
0.522 0.208 0.876 O
0.526 0.476 0.956 O
0.527 0.891 0.359 O
0.624 0.140 0.119 O
0.653 0.570 0.512 O
0.680 0.854 0.566 O
0.681 0.641 0.048 O
0.748 0.210 0.576 O
0.852 0.381 0.307 O
0.861 0.843 0.816 O
0.896 0.757 0.323 O
0.979 0.481 0.860 O
```

---

# 2
Theoretical powder diffraction line list
Compound: SrLiVPO6
Radiation: copper Kα
Structure: a structure optimized by DFT (GGA+U)

Peak list (6 most intense, 10° ≤ 2θ ≤ 90°, by angle)
26.9°, I 56
27.0°, I 45
28.2°, I 40
29.7°, I 100
32.7°, I 63
43.1°, I 35

Cell and atoms:
```
SrLiVPO6
1.0
5.421 0.000 0.000
0.000 10.840 0.000
-0.035 0.000 8.367
Sr Li V P O
4 4 4 4 24
Direct
0.181 0.228 0.113 Sr
0.181 0.272 0.613 Sr
0.819 0.728 0.387 Sr
0.819 0.772 0.887 Sr
0.186 0.517 0.374 Li
0.186 0.983 0.874 Li
0.814 0.017 0.126 Li
0.814 0.483 0.626 Li
0.360 0.590 0.082 V
0.360 0.910 0.582 V
0.640 0.090 0.418 V
0.640 0.410 0.918 V
0.324 0.609 0.698 P
0.324 0.891 0.198 P
0.676 0.109 0.802 P
0.676 0.391 0.302 P
0.103 0.597 0.581 O
0.103 0.903 0.081 O
0.106 0.626 0.198 O
0.106 0.874 0.698 O
0.222 0.645 0.865 O
0.222 0.855 0.365 O
0.327 0.077 0.521 O
0.327 0.423 0.021 O
0.462 0.019 0.201 O
0.462 0.481 0.701 O
0.487 0.209 0.861 O
0.487 0.291 0.361 O
0.513 0.709 0.639 O
0.513 0.791 0.139 O
0.538 0.519 0.299 O
0.538 0.981 0.799 O
0.673 0.577 0.979 O
0.673 0.923 0.479 O
0.778 0.145 0.635 O
0.778 0.355 0.135 O
0.894 0.126 0.302 O
0.894 0.374 0.802 O
0.897 0.097 0.919 O
0.897 0.403 0.419 O
```

---

# 3
Theoretical powder diffraction line list
Compound: WBrCl3O
Radiation: copper Kα
Structure: a structure optimized by DFT (GGA+U)

Peak list (6 most intense, 10° ≤ 2θ ≤ 90°, by angle)
13.5°, I 54
13.6°, I 75
19.3°, I 31
24.9°, I 100
30.4°, I 24
30.8°, I 24

Cell and atoms:
```
WBrCl3O
1.0
3.877 0.000 0.000
1.929 6.511 0.000
1.934 0.074 6.566
W Br Cl O
1 1 3 1
Direct
0.000 0.000 0.000 W
0.781 0.196 0.322 Br
0.097 0.695 0.186 Cl
0.281 0.816 0.699 Cl
0.977 0.306 0.815 Cl
0.526 0.001 0.000 O
```

---

# 4
Theoretical powder diffraction line list
Compound: LiCo2S3O12
Radiation: copper Kα
Structure: a structure optimized by DFT (GGA+U)

Peak list (6 most intense, 10° ≤ 2θ ≤ 90°, by angle)
20.6°, I 68
24.3°, I 100
29.4°, I 29
32.9°, I 34
36.2°, I 37
56.6°, I 28

Cell and atoms:
```
LiCo2S3O12
1.0
4.301 2.483 7.034
-4.301 2.483 7.034
0.000 -4.966 7.034
Li Co S O
2 4 6 24
Direct
0.000 0.000 0.000 Li
0.500 0.500 0.500 Li
0.144 0.144 0.144 Co
0.356 0.356 0.356 Co
0.644 0.644 0.644 Co
0.856 0.856 0.856 Co
0.045 0.750 0.455 S
0.250 0.545 0.955 S
0.455 0.045 0.750 S
0.545 0.955 0.250 S
0.750 0.455 0.045 S
0.955 0.250 0.545 S
0.007 0.810 0.607 O
0.060 0.909 0.269 O
0.091 0.731 0.940 O
0.107 0.310 0.507 O
0.190 0.393 0.993 O
0.231 0.591 0.440 O
0.269 0.060 0.909 O
0.310 0.507 0.107 O
0.393 0.993 0.190 O
0.409 0.560 0.769 O
0.440 0.231 0.591 O
0.493 0.893 0.690 O
0.507 0.107 0.310 O
0.560 0.769 0.409 O
0.591 0.440 0.231 O
0.607 0.007 0.810 O
0.690 0.493 0.893 O
0.731 0.940 0.091 O
0.769 0.409 0.560 O
0.810 0.607 0.007 O
0.893 0.690 0.493 O
0.909 0.269 0.060 O
0.940 0.091 0.731 O
0.993 0.190 0.393 O
```

---

# 5
Theoretical powder diffraction line list
Compound: Li3Fe2Si2O8
Radiation: copper Kα
Structure: a structure optimized by DFT (GGA+U)

Peak list (6 most intense, 10° ≤ 2θ ≤ 90°, by angle)
21.0°, I 100
21.1°, I 28
21.9°, I 77
26.0°, I 91
31.4°, I 39
32.8°, I 39

Cell and atoms:
```
Li3Fe2Si2O8
1.0
8.337 0.000 0.000
0.000 5.468 0.000
-2.026 0.000 8.417
Li Fe Si O
6 4 4 16
Direct
0.000 0.155 0.000 Li
0.000 0.845 0.500 Li
0.085 0.326 0.333 Li
0.085 0.674 0.833 Li
0.587 0.328 0.786 Li
0.587 0.672 0.286 Li
0.417 0.176 0.310 Fe
0.417 0.824 0.810 Fe
0.894 0.318 0.634 Fe
0.894 0.682 0.134 Fe
0.281 0.319 0.938 Si
0.281 0.681 0.438 Si
0.784 0.166 0.264 Si
0.784 0.834 0.764 Si
0.092 0.307 0.830 O
0.092 0.693 0.330 O
0.261 0.217 0.113 O
0.261 0.783 0.613 O
0.331 0.387 0.445 O
0.331 0.613 0.945 O
0.418 0.160 0.871 O
0.418 0.840 0.371 O
0.618 0.318 0.286 O
0.618 0.682 0.786 O
0.733 0.117 0.716 O
0.733 0.883 0.216 O
0.876 0.303 0.140 O
0.876 0.697 0.640 O
0.926 0.175 0.434 O
0.926 0.825 0.934 O
```

---

# 6
Theoretical powder diffraction line list
Compound: Mg6FeSiO8
Radiation: copper Kα
Structure: a structure optimized by DFT (GGA+U)

Peak list (6 most intense, 10° ≤ 2θ ≤ 90°, by angle)
35.9°, I 27
41.6°, I 100
41.8°, I 49
60.3°, I 29
60.4°, I 56
76.0°, I 26

Cell and atoms:
```
Mg6FeSiO8
1.0
4.343 0.000 0.000
0.000 4.343 0.000
0.000 0.000 8.654
Mg Fe Si O
6 1 1 8
Direct
0.000 0.000 0.000 Mg
0.000 0.500 0.246 Mg
0.000 0.500 0.754 Mg
0.500 0.000 0.246 Mg
0.500 0.000 0.754 Mg
0.500 0.500 0.000 Mg
0.000 0.000 0.500 Fe
0.500 0.500 0.500 Si
0.000 0.000 0.248 O
0.000 0.000 0.752 O
0.000 0.500 0.000 O
0.000 0.500 0.500 O
0.500 0.000 0.000 O
0.500 0.000 0.500 O
0.500 0.500 0.237 O
0.500 0.500 0.763 O
```

---

# 7
Theoretical powder diffraction line list
Compound: Li3FeSiO5
Radiation: copper Kα
Structure: a structure optimized by DFT (GGA+U)

Peak list (6 most intense, 10° ≤ 2θ ≤ 90°, by angle)
18.4°, I 100
21.4°, I 57
29.9°, I 30
33.8°, I 25
43.8°, I 98
45.8°, I 42

Cell and atoms:
```
Li3FeSiO5
1.0
5.124 0.000 0.000
1.633 5.512 0.000
1.521 1.106 5.984
Li Fe Si O
6 2 2 10
Direct
0.013 0.245 0.494 Li
0.181 0.050 0.108 Li
0.202 0.554 0.101 Li
0.798 0.446 0.899 Li
0.819 0.950 0.892 Li
0.987 0.755 0.506 Li
0.397 0.346 0.723 Fe
0.603 0.654 0.277 Fe
0.399 0.849 0.711 Si
0.601 0.151 0.289 Si
0.146 0.119 0.784 O
0.147 0.669 0.782 O
0.339 0.421 0.389 O
0.341 0.954 0.409 O
0.500 0.240 0.026 O
0.500 0.760 0.974 O
0.659 0.046 0.591 O
0.661 0.579 0.611 O
0.853 0.331 0.218 O
0.854 0.881 0.216 O
```

---

# 8
Theoretical powder diffraction line list
Compound: KSmSnWO6
Radiation: copper Kα
Structure: a structure optimized by DFT (GGA+U)

Peak list (6 most intense, 10° ≤ 2θ ≤ 90°, by angle)
20.9°, I 24
29.7°, I 100
42.5°, I 20
52.8°, I 41
61.8°, I 13
85.4°, I 15

Cell and atoms:
```
KSmSnWO6
1.0
6.016 0.000 0.000
0.000 6.016 0.000
0.000 0.000 8.480
K Sm Sn W O
2 2 2 2 12
Direct
0.000 0.000 0.250 K
0.000 0.000 0.750 K
0.000 0.500 0.000 Sm
0.500 0.000 0.500 Sm
0.500 0.500 0.250 Sn
0.500 0.500 0.750 Sn
0.000 0.500 0.500 W
0.500 0.000 0.000 W
0.000 0.500 0.271 O
0.000 0.500 0.729 O
0.237 0.277 0.500 O
0.237 0.723 0.500 O
0.277 0.237 0.000 O
0.277 0.763 0.000 O
0.500 0.000 0.229 O
0.500 0.000 0.771 O
0.723 0.237 0.000 O
0.723 0.763 0.000 O
0.763 0.277 0.500 O
0.763 0.723 0.500 O
```